Starting from the PBE geometry in the Materials Project, the powder diffraction line list of SmTiGe was calculated for Cu Ka.
Intensities are scaled so that the largest is 100.

Largest 8 diffraction maxima, low angle first, 2θ from 10° to 80°:
2θ 30.78, I 69, (1 1 0); 2θ 31.49, I 100, (1 0 2); 2θ 32.87, I 57, (1 1 1); 2θ 34.20, I 24, (0 0 3); 2θ 38.53, I 75, (1 1 2); 2θ 44.09, I 61, (2 0 0); 2θ 55.18, I 41, (2 1 2); 2θ 63.30, I 25, (1 0 5)

Structure:
abc: 4.108 4.108 7.866
angles: 90.00 90.00 90.00
Sites, in units of the cell vectors:
Sm  0.250  0.250  0.155
Sm  0.750  0.750  0.845
Ti  0.250  0.750  0.500
Ti  0.750  0.250  0.500
Ge  0.250  0.250  0.733
Ge  0.750  0.750  0.267